Entry 1:
Structure and simulated PXRD pattern of MgSnBr6 (a GGA-PBE-relaxed structure; Cu Kα X-rays).

Crystal structure
```
8
Lattice="3.367 -6.528 0.000 3.367 6.528 0.000 -2.363 0.000 6.300" Properties=species:S:1:pos:R:3 pbc="T T T"
Mg 0.000 0.000 0.000
Sn 2.185 0.000 3.150
Br 1.080 1.848 1.555
Br 0.030 0.000 4.642
Br 1.080 -1.848 1.555
Br 3.290 1.848 4.745
Br 4.340 0.000 1.659
Br 3.290 -1.848 4.745
```

Main lines, in order of rising 2θ (2θ = 10–80°):
2θ/deg	d (Å)	intensity
13.56	6.528	60
17.41	5.094	42
26.05	3.421	42
28.32	3.151	42
31.09	2.877	100
32.36	2.766	49
39.76	2.267	23
41.85	2.158	20
45.49	1.994	66
58.59	1.576	17

=====

Entry 2:
Structure and simulated PXRD pattern of Cs3Bi2Cl9 (a GGA-PBE-relaxed structure; Cu Kα X-rays).

Crystal structure
```
56
Lattice="19.261 0.000 0.000 0.000 7.822 0.000 0.000 0.000 13.540" Properties=species:S:1:pos:R:3 pbc="T T T"
Cs 1.679 1.955 1.027
Cs 1.754 5.866 8.046
Cs 4.812 1.955 10.151
Cs 4.818 5.866 3.382
Cs 7.876 1.955 1.276
Cs 7.952 5.866 7.797
Cs 11.309 1.955 5.742
Cs 11.384 5.866 12.263
Cs 14.443 1.955 10.158
Cs 14.448 5.866 3.388
Cs 17.507 1.955 5.493
Cs 17.582 5.866 12.512
Bi 0.032 1.955 10.270
Bi 3.419 1.955 5.638
Bi 6.212 5.866 12.407
Bi 9.599 5.866 3.501
Bi 9.662 1.955 10.039
Bi 13.049 1.955 1.132
Bi 15.842 5.866 7.902
Bi 19.229 5.866 3.269
Cl 1.525 5.866 1.191
Cl 1.539 0.080 11.269
Cl 1.539 3.831 11.269
Cl 1.622 0.024 4.532
Cl 1.622 3.887 4.532
Cl 1.670 1.955 7.897
Cl 4.722 1.955 3.355
Cl 4.738 3.921 6.767
Cl 4.738 7.811 6.767
Cl 4.892 0.011 13.537
Cl 4.892 3.900 13.537
Cl 4.909 5.866 10.124
Cl 7.960 5.866 1.127
Cl 8.008 3.935 11.302
Cl 8.008 7.797 11.302
Cl 8.092 3.991 4.499
Cl 8.092 7.742 4.499
Cl 8.105 1.955 7.961
Cl 11.156 5.866 5.579
Cl 11.169 0.080 9.040
Cl 11.169 3.831 9.040
Cl 11.252 0.024 2.238
Cl 11.252 3.887 2.238
Cl 11.301 1.955 12.412
Cl 14.352 1.955 3.415
Cl 14.369 3.921 0.003
Cl 14.369 7.811 0.003
Cl 14.522 0.011 6.772
Cl 14.522 3.900 6.772
Cl 14.539 5.866 10.185
Cl 17.591 5.866 5.642
Cl 17.639 3.935 9.008
Cl 17.639 7.797 9.008
Cl 17.722 3.991 2.271
Cl 17.722 7.742 2.271
Cl 17.736 1.955 12.348
```

Main lines, in order of rising 2θ (2θ = 10–80°):
2θ/deg	d (Å)	intensity
19.05	4.659	15
22.71	3.915	100
29.83	2.995	27
32.32	2.770	39
35.25	2.546	15
39.91	2.259	33
42.34	2.135	11
46.27	1.962	15
46.45	1.955	23
62.88	1.478	12

=====

Entry 3:
Structure and simulated PXRD pattern of KRb2Tl3Cl6 (a GGA-PBE-relaxed structure; Cu Kα X-rays).

Crystal structure
```
12
Lattice="10.084 -2.318 0.000 10.084 2.318 0.000 -2.079 0.000 9.021" Properties=species:S:1:pos:R:3 pbc="T T T"
K 0.000 0.000 0.000
Rb 5.348 0.000 6.049
Rb 12.742 0.000 2.972
Tl -1.039 0.000 4.511
Tl 6.407 0.000 1.506
Tl 11.682 0.000 7.515
Cl 3.126 0.000 0.672
Cl 2.128 0.000 5.269
Cl 9.532 0.000 2.174
Cl 8.558 0.000 6.847
Cl 15.961 0.000 3.752
Cl 14.963 0.000 8.350
```

Main lines, in order of rising 2θ (2θ = 10–80°):
2θ/deg	d (Å)	intensity
11.73	7.542	30
22.47	3.956	21
23.50	3.786	46
23.59	3.771	15
27.22	3.276	100
38.82	2.320	38
38.94	2.313	38
45.91	1.977	25
48.06	1.893	20
70.33	1.338	13

=====

> Which formula does entry 1 have?

MgSnBr6

=====

Copy entry 1 word for word.
Structure and simulated PXRD pattern of MgSnBr6 (a GGA-PBE-relaxed structure; Cu Kα X-rays).

Crystal structure
```
8
Lattice="3.367 -6.528 0.000 3.367 6.528 0.000 -2.363 0.000 6.300" Properties=species:S:1:pos:R:3 pbc="T T T"
Mg 0.000 0.000 0.000
Sn 2.185 0.000 3.150
Br 1.080 1.848 1.555
Br 0.030 0.000 4.642
Br 1.080 -1.848 1.555
Br 3.290 1.848 4.745
Br 4.340 0.000 1.659
Br 3.290 -1.848 4.745
```

Main lines, in order of rising 2θ (2θ = 10–80°):
2θ/deg	d (Å)	intensity
13.56	6.528	60
17.41	5.094	42
26.05	3.421	42
28.32	3.151	42
31.09	2.877	100
32.36	2.766	49
39.76	2.267	23
41.85	2.158	20
45.49	1.994	66
58.59	1.576	17

=====

> Which formula does entry 1 have?

MgSnBr6

=====

> Number 2 is which compound?

Cs3Bi2Cl9